Calculated X-ray diffraction stick pattern of Li2VOF3 for Cu Ka, from DFT lattice parameters and positions (GGA+U).

Atomic structure:
a b c (Å): 10.255 6.078 5.977
angles (deg): 90.00 124.67 90.00
Space group C2/m (No. 12)
Unique sites:
Li (0.000, 0.000, 0.000) [2 per cell]
Li (0.000, 0.000, 0.500) [2 per cell]
Li (0.128, 0.500, 0.406) [4 per cell]
V (0.250, 0.250, 0.000) [4 per cell]
O (0.245, 0.000, 0.199) [4 per cell]
F (0.011, 0.237, 0.755) [8 per cell]
F (0.246, 0.000, 0.752) [4 per cell]

Most intense lines, 2θ from 10° to 90°, sorted by position:
- 18.0 deg, d 4.916, intensity 91, (0 0 1)
- 18.3 deg, d 4.837, intensity 100, (2 0 -1)
- 21.1 deg, d 4.217, intensity 40, (2 0 0)
- 34.9 deg, d 2.573, intensity 32, (2 2 -1)
- 42.4 deg, d 2.131, intensity 91, (2 2 -2)
- 42.9 deg, d 2.109, intensity 45, (4 0 0)